1.
Diffraction record for LaMg3Cd9. The PXRD pattern is computed, not measured: it uses DFT lattice parameters and positions (PBE) and Cu Kα (weighted mean of Kα1 and Kα2).
Intensities are scaled so that the largest is 100.

Main lines, by angle (10 to 90 degrees two-theta):
- 29.68 deg, I 38
- 30.76 deg, I 47
- 34.83 deg, I 34
- 35.77 deg, I 100
- 36.08 deg, I 34
- 39.39 deg, I 36
- 40.24 deg, I 26
- 56.71 deg, I 25

Atomic structure:
Unit cell a=6.0195 b=14.1037 c=7.6458 alpha=90.00 beta=113.16 gamma=90.00
Space group C2/m (No. 12)
Inequivalent atoms, fractional coordinates:
La 0.0000 0.0000 0.0000 x2
Mg 0.0000 0.5000 0.5000 x2
Mg 0.2500 0.2500 0.0000 x4
Cd 0.0000 0.0000 0.5000 x2
Cd 0.1018 0.3918 0.2147 x8
Cd 0.1770 0.1753 0.3469 x8

2.
Diffraction record for La5MgCd2. The PXRD pattern is computed, not measured: it uses DFT lattice parameters and positions (PBE) and Cu Kα (weighted mean of Kα1 and Kα2).
Intensities are scaled so that the largest is 100.

Main lines, by angle (10 to 90 degrees two-theta):
- 15.70 deg, I 9
- 31.55 deg, I 51
- 31.74 deg, I 100
- 45.22 deg, I 19
- 45.79 deg, I 9
- 56.30 deg, I 38
- 56.67 deg, I 19
- 66.31 deg, I 12

Atomic structure:
Unit cell a=8.0213 b=8.0213 c=7.9264 alpha=90.00 beta=90.00 gamma=90.00
Space group I4mm (No. 107)
Inequivalent atoms, fractional coordinates:
La 0.0000 0.0000 0.0000 x2
La 0.2502 0.2502 0.2494 x8
Mg 0.0000 0.0000 0.4990 x2
Cd 0.0000 0.5000 0.9995 x4